Structure and computed powder XRD pattern of KCNO (a cell relaxed with GGA-PBE; copper Kα).
Peak positions follow from Bragg's law for the DFT cell and can differ from measured ones.

Structure:
abc: 7.157 6.146 6.176
angles: 90.00 90.00 90.00
Space group Ima2 (No. 46)
Inequivalent atoms, fractional coordinates:
K 0.000 0.000 0.000
C 0.250 0.003 0.496
N 0.250 0.139 0.357
O 0.250 0.640 0.136

Peak list (10 most intense, 10 to 90 degrees two-theta, by intensity)
| 2θ/deg | Rel. int. |
| --- | --- |
| 32.4 | 100 |
| 34.9 | 21 |
| 28.9 | 18 |
| 29.1 | 18 |
| 41.5 | 15 |
| 20.4 | 10 |
| 69.9 | 9 |
| 38.5 | 9 |
| 38.6 | 9 |
| 51.0 | 9 |